For SrVRuO6, a crystal structure in Alexandria, relaxed with GGA+U gives the theoretical X-ray diffraction stick pattern in this record (Cu Kα (λ = 1.5418 Å)).
Peak positions follow from Bragg's law for the DFT cell and can differ from measured ones.

Cell and atoms:
```
9
Lattice="5.1651 0.0000 0.0000 -2.5825 4.4731 0.0000 0.0000 0.0000 5.3989" Properties=species:S:1:pos:R:3 pbc="T T T"
Sr 0.0000 0.0000 0.0000
V 0.0000 2.9820 2.8134
Ru 2.5825 1.4910 2.5669
O -0.9334 1.6985 3.7296
O -1.5554 2.7775 1.5780
O -0.6449 4.4322 3.7296
O 0.9549 1.7373 1.5780
O 0.6006 4.4313 1.5780
O 1.5783 2.8154 3.7296
```

Main lines, in order of falling intensity (2θ from 5° to 70°):
- 2θ = 25.87°, rel. 100.0
- 2θ = 48.80°, rel. 40.6
- 2θ = 34.74°, rel. 28.2
- 2θ = 57.09°, rel. 20.8
- 2θ = 43.81°, rel. 19.9
- 2θ = 16.42°, rel. 16.6
- 2θ = 62.27°, rel. 11.7
- 2θ = 55.00°, rel. 10.3
- 2θ = 38.65°, rel. 8.5
- 2θ = 66.71°, rel. 7.9